Structure and theoretical XRD peak list of LiCu2Si (a crystal structure in the Materials Project, relaxed with PBE; Cu Kα).
Neutral-atom scattering factors, no anomalous dispersion.

Atomic structure:
a = 4.0534 Å, b = 4.0534 Å, c = 4.0534 Å
α = 60.00°, β = 60.00°, γ = 60.00°
Fractional coordinates of all 4 atoms:
Li  0.0000  0.0000  0.0000
Cu  0.2500  0.2500  0.2500
Cu  0.7500  0.7500  0.7500
Si  0.5000  0.5000  0.5000

Most intense lines, 10° ≤ 2θ ≤ 80°, sorted by position:
26.9°, rel. 5
31.2°, rel. 52
44.7°, rel. 100
53.0°, rel. 2
55.5°, rel. 12
65.1°, rel. 15
71.8°, rel. 1
73.9°, rel. 14

=====

Structure and theoretical XRD peak list of Tb2Zr2O7 (a crystal structure in the Materials Project, relaxed with PBE; Cu Kα).
Neutral-atom scattering factors, no anomalous dispersion.

Atomic structure:
a = 10.4874 Å, b = 10.4874 Å, c = 5.4572 Å
α = 90.00°, β = 90.00°, γ = 90.00°
Fractional coordinates of all 44 atoms:
Tb  0.1247  0.6247  0.0000
Tb  0.1247  0.8753  0.5000
Tb  0.3753  0.6247  0.5000
Tb  0.3753  0.8753  0.0000
Tb  0.6247  0.1247  0.0000
Tb  0.6247  0.3753  0.5000
Tb  0.8753  0.1247  0.5000
Tb  0.8753  0.3753  0.0000
Zr  0.1113  0.1113  0.0198
Zr  0.1113  0.3887  0.5198
Zr  0.3887  0.1113  0.5198
Zr  0.3887  0.3887  0.0198
Zr  0.6113  0.6113  0.9802
Zr  0.6113  0.8887  0.4802
Zr  0.8887  0.6113  0.4802
Zr  0.8887  0.8887  0.9802
O  0.0046  0.0046  0.7676
O  0.0046  0.4954  0.2676
O  0.0389  0.2444  0.2838
O  0.0389  0.2556  0.7838
O  0.2444  0.0389  0.2838
O  0.2444  0.4611  0.7838
O  0.2500  0.7500  0.2500
O  0.2500  0.7500  0.7500
O  0.2556  0.0389  0.7838
O  0.2556  0.4611  0.2838
O  0.4611  0.2444  0.7838
O  0.4611  0.2556  0.2838
O  0.4954  0.0046  0.2676
O  0.4954  0.4954  0.7676
O  0.5046  0.5046  0.2324
O  0.5046  0.9954  0.7324
O  0.5389  0.7444  0.7162
O  0.5389  0.7556  0.2162
O  0.7444  0.5389  0.7162
O  0.7444  0.9611  0.2162
O  0.7500  0.2500  0.2500
O  0.7500  0.2500  0.7500
O  0.7556  0.5389  0.2162
O  0.7556  0.9611  0.7162
O  0.9611  0.7444  0.2162
O  0.9611  0.7556  0.7162
O  0.9954  0.5046  0.7324
O  0.9954  0.9954  0.2324

Most intense lines, 10° ≤ 2θ ≤ 80°, sorted by position:
29.1°, rel. 100
32.8°, rel. 11
34.2°, rel. 20
48.1°, rel. 33
49.1°, rel. 15
56.3°, rel. 15
58.1°, rel. 26
78.0°, rel. 10